Entry 1:
# AcTlAuSe2
Simulated powder X-ray diffraction pattern, λ = 1.5418 Å (Cu Kα). Input: a PBE-relaxed structure.

Main lines, in order of rising 2θ (10° ≤ 2θ ≤ 90°):
2theta	Rel. int.
24.3	52
24.9	100
26.1	49
30.1	86
31.3	79
32.0	80
37.7	41
38.4	36
42.1	40
43.0	42

Atomic structure:
```
AcTlAuSe2
1.0
4.7825 0.0000 0.0000
0.0000 7.4693 0.0000
-4.3997 0.0000 8.4222
Ac Tl Au Se
2 2 2 4
Direct
0.0000 0.1070 0.2500
0.0000 0.8930 0.7500
0.5000 0.2816 0.7500
0.5000 0.7184 0.2500
0.0000 0.5000 0.0000
0.0000 0.5000 0.5000
0.2790 0.2036 0.0178
0.2790 0.7964 0.5178
0.7210 0.2036 0.4822
0.7210 0.7964 0.9822
```

***

Entry 2:
# Ac4Si2Au
Simulated powder X-ray diffraction pattern, λ = 1.5418 Å (Cu Kα). Input: a PBE-relaxed structure.

Main lines, in order of rising 2θ (10° ≤ 2θ ≤ 90°):
2theta	Rel. int.
22.6	46
25.9	54
28.5	100
29.4	89
29.5	63
34.7	81
35.0	66
46.2	31
47.9	29
48.4	43

Atomic structure:
```
Ac4Si2Au
1.0
-4.7853 4.7862 4.9634
4.7853 -4.7862 4.9634
4.7853 4.7862 -4.9634
Ac Si Au
8 4 2
Direct
0.1296 0.9931 0.5041
0.3704 0.8745 0.8635
0.5067 0.5106 0.1367
0.5110 0.5069 0.6365
0.6262 0.9894 0.4961
0.8738 0.3699 0.3633
0.9890 0.6255 0.9959
0.9933 0.1301 0.0039
0.2500 0.6318 0.3818
0.6319 0.2500 0.8819
0.7500 0.8682 0.1182
0.8681 0.7500 0.6181
0.1255 0.3755 0.7500
0.3745 0.1245 0.2500
```

***

Entry 3:
# Ac2SiAu2
Simulated powder X-ray diffraction pattern, λ = 1.5418 Å (Cu Kα). Input: a PBE-relaxed structure.

Main lines, in order of rising 2θ (10° ≤ 2θ ≤ 90°):
2theta	Rel. int.
25.2	51
29.6	100
30.5	45
30.6	32
32.4	45
33.3	53
38.1	62
41.0	43
53.8	28
59.6	25

Atomic structure:
```
Ac2SiAu2
1.0
5.8825 -2.2028 0.0000
5.8825 2.2028 0.0000
-5.1327 0.0000 10.7649
Ac Si Au
4 2 4
Direct
0.0913 0.0913 0.3959
0.3111 0.3111 0.8683
0.6889 0.6889 0.1317
0.9087 0.9087 0.6041
0.4139 0.4139 0.1779
0.5861 0.5861 0.8221
0.0404 0.0404 0.9032
0.3624 0.3624 0.3777
0.6376 0.6376 0.6223
0.9596 0.9596 0.0968
```

***

Entry 4:
# AcSmSi2Au2
Simulated powder X-ray diffraction pattern, λ = 1.5418 Å (Cu Kα). Input: a PBE-relaxed structure.

Main lines, in order of rising 2θ (10° ≤ 2θ ≤ 90°):
2theta	Rel. int.
25.7	44
31.7	100
39.8	11
41.1	47
42.8	12
52.8	28
60.9	26
69.0	22
71.4	9
74.9	8

Atomic structure:
```
AcSmSi2Au2
1.0
4.3895 0.0000 0.0000
-2.1947 3.8014 0.0000
0.0000 0.0000 8.4513
Ac Sm Si Au
1 1 2 2
Direct
0.0000 0.0000 0.0000
0.0000 0.0000 0.5000
0.3333 0.6667 0.7355
0.6667 0.3333 0.2645
0.3333 0.6667 0.2715
0.6667 0.3333 0.7285
```

***

Entry 5:
# Ac2SmSi3Au12
Simulated powder X-ray diffraction pattern, λ = 1.5418 Å (Cu Kα). Input: a PBE-relaxed structure.

Main lines, in order of rising 2θ (10° ≤ 2θ ≤ 90°):
2theta	Rel. int.
29.5	88
32.1	49
32.6	94
34.0	26
40.6	100
41.3	21
53.0	20
59.3	35
60.9	23
62.1	21

Atomic structure:
```
Ac2SmSi3Au12
1.0
4.4426 2.5649 6.5530
-4.4426 2.5649 6.5530
0.0000 -5.1299 6.5530
Ac Sm Si Au
2 1 3 12
Direct
0.1005 0.1005 0.1005
0.8995 0.8995 0.8995
0.5000 0.5000 0.5000
0.0000 0.5000 0.5000
0.5000 0.0000 0.5000
0.5000 0.5000 0.0000
0.0944 0.6414 0.6414
0.1869 0.1869 0.6411
0.1869 0.6411 0.1869
0.3586 0.3586 0.9056
0.3589 0.8131 0.8131
0.3586 0.9056 0.3586
0.6414 0.0944 0.6414
0.6411 0.1869 0.1869
0.6414 0.6414 0.0944
0.8131 0.3589 0.8131
0.8131 0.8131 0.3589
0.9056 0.3586 0.3586
```

***

Entry 6:
# AcSi2Sn2Au7
Simulated powder X-ray diffraction pattern, λ = 1.5418 Å (Cu Kα). Input: a PBE-relaxed structure.

Main lines, in order of rising 2θ (10° ≤ 2θ ≤ 90°):
2theta	Rel. int.
28.2	27
29.2	93
31.4	82
33.3	70
35.5	60
36.2	58
39.4	100
47.9	43
50.5	27
65.4	32

Atomic structure:
```
AcSi2Sn2Au7
1.0
3.1410 -3.4952 0.0000
3.1410 3.4952 0.0000
-0.4106 0.0000 12.6410
Ac Si Sn Au
1 2 2 7
Direct
0.0000 0.0000 0.0000
0.3454 0.3454 0.2387
0.6546 0.6546 0.7613
0.1295 0.1295 0.6257
0.8705 0.8705 0.3743
0.1207 0.5235 0.8139
0.3227 0.3227 0.4298
0.4765 0.8793 0.1861
0.5000 0.5000 0.0000
0.5235 0.1207 0.8139
0.6773 0.6773 0.5702
0.8793 0.4765 0.1861
```